Record 1
Simulated powder diffraction line list of CsMgRuCl6 for λ = 1.5418 Å (Cu Kα), from a cell relaxed with PBE.
No peak broadening, texture or thermal motion is included.

Crystal structure
a b c (Å): 6.4026 6.4026 7.9084
angles (deg): 90.00 90.00 120.00
Fractional positions:
Cs1 0.0000 0.0000 0.0000
Mg1 0.6667 0.3333 0.5000
Ru1 0.3333 0.6667 0.5000
Cl1 0.0162 0.3762 0.6740
Cl2 0.0162 0.6400 0.3260
Cl3 0.3600 0.3762 0.3260
Cl4 0.3600 0.9838 0.6740
Cl5 0.6238 0.6400 0.6740
Cl6 0.6238 0.9838 0.3260

Peak list (10 most intense, 2θ = 15–90°, in order of rising 2θ)
2θ/deg	Rel. int.
15.98	13
19.55	100
30.12	20
34.27	16
36.10	52
37.79	12
44.74	21
47.60	13
49.28	20
54.55	14

---

Record 2
Simulated powder diffraction line list of Cs2SrMgCl6 for λ = 1.5418 Å (Cu Kα), from a cell relaxed with PBE.
No peak broadening, texture or thermal motion is included.

Crystal structure
a b c (Å): 7.5887 7.5887 7.5887
angles (deg): 60.00 60.00 60.00
Fractional positions:
Cs1 0.2500 0.2500 0.2500
Cs2 0.7500 0.7500 0.7500
Sr1 0.0000 0.0000 0.0000
Mg1 0.5000 0.5000 0.5000
Cl1 0.2652 0.2652 0.7348
Cl2 0.2652 0.7348 0.2652
Cl3 0.2652 0.7348 0.7348
Cl4 0.7348 0.2652 0.2652
Cl5 0.7348 0.2652 0.7348
Cl6 0.7348 0.7348 0.2652

Peak list (10 most intense, 2θ = 15–90°, in order of rising 2θ)
2θ/deg	Rel. int.
23.45	100
28.82	57
33.40	76
41.21	45
47.95	50
54.04	22
56.91	20
59.69	17
65.03	25
79.96	21

---

Record 3
Simulated powder diffraction line list of CsMgUCl6 for λ = 1.5418 Å (Cu Kα), from a cell relaxed with PBE.
No peak broadening, texture or thermal motion is included.

Crystal structure
a b c (Å): 9.7312 9.7312 9.7312
angles (deg): 122.06 118.04 89.95
Fractional positions:
Cs1 0.2919 0.0419 0.2500
Cs2 0.7081 0.9581 0.7500
Mg1 0.0000 0.0000 0.5000
Mg2 0.0000 0.5000 0.0000
U1 0.0000 0.5000 0.5000
U2 0.5000 0.5000 0.0000
Cl1 0.0409 0.7909 0.2500
Cl2 0.0523 0.3963 0.2094
Cl3 0.0523 0.8429 0.6560
Cl4 0.3131 0.1571 0.7094
Cl5 0.3131 0.6037 0.1560
Cl6 0.3384 0.5884 0.7500
Cl7 0.6616 0.4116 0.2500
Cl8 0.6869 0.3963 0.8440
Cl9 0.6869 0.8429 0.2906
Cl10 0.9477 0.1571 0.3440
Cl11 0.9477 0.6037 0.7906
Cl12 0.9591 0.2091 0.7500

Peak list (10 most intense, 2θ = 15–90°, in order of rising 2θ)
2θ/deg	Rel. int.
18.83	19
21.09	100
22.87	41
28.02	35
32.20	24
34.31	23
38.21	23
38.51	18
39.12	19
42.95	17

---

Record 4
Simulated powder diffraction line list of Cs2Mn2Cl7 for λ = 1.5418 Å (Cu Kα), from a cell relaxed with PBE.
No peak broadening, texture or thermal motion is included.

Crystal structure
a b c (Å): 4.8072 9.0706 9.1186
angles (deg): 115.84 90.23 90.16
Fractional positions:
Cs1 0.9995 0.2051 0.2945
Cs2 0.0005 0.7949 0.7055
Mn1 0.4962 0.7422 0.2428
Mn2 0.5038 0.2578 0.7572
Cl1 0.0038 0.2806 0.7800
Cl2 0.4958 0.8516 0.0588
Cl3 0.4965 0.5564 0.3506
Cl4 0.5000 0.0000 0.5000
Cl5 0.5035 0.4436 0.6494
Cl6 0.5042 0.1484 0.9412
Cl7 0.9962 0.7194 0.2200

Peak list (10 most intense, 2θ = 15–90°, in order of rising 2θ)
2θ/deg	Rel. int.
21.66	47
21.78	100
26.07	42
26.24	40
26.99	38
27.07	39
28.65	25
37.23	27
37.42	39
43.56	26

---

Record 5
Simulated powder diffraction line list of CsMnCl6 for λ = 1.5418 Å (Cu Kα), from a cell relaxed with PBE.
No peak broadening, texture or thermal motion is included.

Crystal structure
a b c (Å): 8.4208 9.7000 6.4536
angles (deg): 90.00 105.92 90.00
Fractional positions:
Cs1 0.0000 0.0000 0.0000
Cs2 0.5000 0.5000 0.0000
Mn1 0.0000 0.5000 0.5000
Mn2 0.5000 0.0000 0.5000
Cl1 0.0953 0.3352 0.7524
Cl2 0.0953 0.6648 0.7524
Cl3 0.2468 0.5000 0.4230
Cl4 0.2532 0.0000 0.5770
Cl5 0.4047 0.1648 0.2476
Cl6 0.4047 0.8352 0.2476
Cl7 0.5953 0.1648 0.7524
Cl8 0.5953 0.8352 0.7524
Cl9 0.7468 0.0000 0.4230
Cl10 0.7532 0.5000 0.5770
Cl11 0.9047 0.3352 0.2476
Cl12 0.9047 0.6648 0.2476

Peak list (10 most intense, 2θ = 15–90°, in order of rising 2θ)
2θ/deg	Rel. int.
17.94	100
18.29	45
22.27	50
29.32	62
29.46	29
29.75	28
33.66	44
34.31	44
34.48	51
49.23	35

---

Record 6
Simulated powder diffraction line list of Cs3Mn2Cl9 for λ = 1.5418 Å (Cu Kα), from a cell relaxed with PBE.
No peak broadening, texture or thermal motion is included.

Crystal structure
a b c (Å): 9.6800 9.6800 9.6800
angles (deg): 81.36 81.36 81.36
Fractional positions:
Cs1 0.0902 0.7500 0.4098
Cs2 0.2500 0.5902 0.9098
Cs3 0.4098 0.0902 0.7500
Cs4 0.5902 0.9098 0.2500
Cs5 0.7500 0.4098 0.0902
Cs6 0.9098 0.2500 0.5902
Mn1 0.1633 0.1633 0.1633
Mn2 0.3367 0.3367 0.3367
Mn3 0.6633 0.6633 0.6633
Mn4 0.8367 0.8367 0.8367
Cl1 0.0561 0.8996 0.7398
Cl2 0.1004 0.2602 0.9439
Cl3 0.1012 0.3988 0.2500
Cl4 0.2398 0.3996 0.5561
Cl5 0.2500 0.1012 0.3988
Cl6 0.2602 0.9439 0.1004
Cl7 0.3988 0.2500 0.1012
Cl8 0.3996 0.5561 0.2398
Cl9 0.4439 0.7602 0.6004
Cl10 0.5561 0.2398 0.3996
Cl11 0.6004 0.4439 0.7602
Cl12 0.6012 0.7500 0.8988
Cl13 0.7398 0.0561 0.8996
Cl14 0.7500 0.8988 0.6012
Cl15 0.7602 0.6004 0.4439
Cl16 0.8988 0.6012 0.7500
Cl17 0.8996 0.7398 0.0561
Cl18 0.9439 0.1004 0.2602

Peak list (10 most intense, 2θ = 15–90°, in order of rising 2θ)
2θ/deg	Rel. int.
19.80	59
24.44	42
28.00	20
31.45	16
31.65	100
40.22	27
40.38	14
47.63	16
50.08	22
51.89	17